Calculated powder diffraction line list of Na10NbGaAs6 for CuKα, from a cell relaxed with PBE.
Neutral-atom scattering factors, no anomalous dispersion.

Cell and atoms:
abc: 8.3970 7.5568 15.8842
angles: 90.00 121.00 90.00
Positions (direct):
Na 0.0000 0.0881 0.0000
Na 0.0000 0.9119 0.5000
Na 0.0100 0.4054 0.1600
Na 0.0100 0.5946 0.6600
Na 0.1065 0.2601 0.8380
Na 0.1065 0.7399 0.3379
Na 0.2884 0.2271 0.6758
Na 0.2884 0.7729 0.1758
Na 0.4059 0.2662 0.1652
Na 0.4059 0.7338 0.6652
Na 0.5956 0.2137 0.9972
Na 0.5956 0.7863 0.4972
Na 0.6791 0.0937 0.6758
Na 0.6791 0.9063 0.1758
Na 0.6928 0.4003 0.8355
Na 0.6928 0.5997 0.3355
Na 0.7605 0.2636 0.5029
Na 0.7605 0.7364 0.0029
Na 0.9236 0.2302 0.3249
Na 0.9236 0.7698 0.8249
Nb 0.3561 0.3872 0.4942
Nb 0.3561 0.6128 0.9942
Ga 0.3308 0.1133 0.3314
Ga 0.3308 0.8867 0.8314
As 0.0233 0.0190 0.1870
As 0.0233 0.9810 0.6870
As 0.0796 0.4878 0.9952
As 0.0796 0.5122 0.4952
As 0.3233 0.0545 0.4901
As 0.3233 0.9455 0.9901
As 0.3686 0.4616 0.3433
As 0.3686 0.5384 0.8433
As 0.6199 0.0019 0.8379
As 0.6199 0.9981 0.3379
As 0.6547 0.4820 0.6421
As 0.6547 0.5180 0.1421

Top 10 peaks for 10° ≤ 2θ ≤ 80°, by angle:
2θ (°)	intensity	h k l
12.30	86	1 0 0
23.55	65	0 2 0
24.25	58	2 1 -2
32.53	69	1 2 2
32.74	100	1 2 -4
37.27	58	1 3 -1
37.49	62	3 0 0
38.04	53	3 0 -6
39.72	85	0 0 6
41.82	55	2 3 -2

Calculated powder diffraction line list of SrCdCuHg for CuKα, from a cell relaxed with PBE.
Neutral-atom scattering factors, no anomalous dispersion.

Cell and atoms:
abc: 7.3220 7.3220 7.3220
angles: 90.00 90.00 90.00
Positions (direct):
Sr 0.0000 0.0000 0.0000
Sr 0.0000 0.5000 0.5000
Sr 0.5000 0.0000 0.5000
Sr 0.5000 0.5000 0.0000
Cd 0.0000 0.0000 0.5000
Cd 0.0000 0.5000 0.0000
Cd 0.5000 0.0000 0.0000
Cd 0.5000 0.5000 0.5000
Cu 0.2500 0.2500 0.2500
Cu 0.2500 0.7500 0.7500
Cu 0.7500 0.2500 0.7500
Cu 0.7500 0.7500 0.2500
Hg 0.2500 0.2500 0.7500
Hg 0.2500 0.7500 0.2500
Hg 0.7500 0.2500 0.2500
Hg 0.7500 0.7500 0.7500

Top 10 peaks for 10° ≤ 2θ ≤ 80°, by angle:
2θ (°)	intensity	h k l
21.01	18	1 1 1
24.31	2	2 0 0
34.65	100	2 2 0
40.88	10	3 1 1
49.81	18	4 0 0
54.64	5	3 3 1
62.10	36	4 2 2
66.34	4	5 1 1
73.11	11	4 4 0
77.06	4	5 3 1